[1]
Cs3Pb2Br5F2: theoretical PXRD pattern (Cu Kα), based on DFT lattice parameters and positions (PBE).

```
12
Lattice="-3.048 3.048 13.363 3.048 -3.048 13.363 3.048 3.048 -13.363" Properties=species:S:1:pos:R:3 pbc="T T T"
Cs 0.000 0.000 0.000
Cs 0.000 0.000 5.165
Cs 0.000 0.000 21.560
Pb 0.000 0.000 10.229
Pb 0.000 0.000 16.496
Br 3.048 0.000 3.033
Br 3.048 0.000 10.330
Br 0.000 0.000 13.363
Br 0.000 3.048 3.033
Br 0.000 3.048 10.330
F 0.000 0.000 7.945
F 0.000 0.000 18.780
```

Largest 10 diffraction maxima, sorted by position, 2θ from 15° to 90°:
d_spacing	two_theta	intensity
4.311	20.60	52
4.019	22.12	94
3.048	29.30	100
2.671	33.55	30
2.429	37.01	51
2.253	40.02	25
2.155	41.91	37
2.009	45.13	42
1.678	54.71	20
1.363	68.89	21


[2]
Cs2PdBr2F4: theoretical PXRD pattern (Cu Kα), based on DFT lattice parameters and positions (PBE).

```
9
Lattice="-3.675 3.675 4.205 3.675 -3.675 4.205 3.675 3.675 -4.205" Properties=species:S:1:pos:R:3 pbc="T T T"
Cs 3.675 0.000 2.102
Cs 0.000 3.675 2.102
Pd 0.000 0.000 0.000
Br 0.000 0.000 2.504
Br 0.000 0.000 5.905
F 1.396 1.396 0.000
F 2.279 -2.279 4.205
F -2.279 2.279 4.205
F 2.279 2.279 4.205
```

Largest 10 diffraction maxima, sorted by position, 2θ from 15° to 90°:
d_spacing	two_theta	intensity
5.534	16.02	20
3.675	24.22	100
3.269	27.28	39
2.767	32.36	50
2.619	34.24	26
2.599	34.52	58
2.133	42.38	19
1.837	49.61	18
1.643	55.95	24
1.634	56.29	18


[3]
Cs2PdBr6F: theoretical PXRD pattern (Cu Kα), based on DFT lattice parameters and positions (PBE).

```
10
Lattice="-3.670 3.670 5.878 3.670 -3.670 5.878 3.670 3.670 -5.878" Properties=species:S:1:pos:R:3 pbc="T T T"
Cs 3.670 0.000 2.939
Cs 0.000 3.670 2.939
Pd 0.000 0.000 0.000
Br 0.000 0.000 2.503
Br 1.802 1.802 0.000
Br 1.869 -1.869 5.878
Br -1.869 1.869 5.878
Br 1.869 1.869 5.878
Br 0.000 0.000 9.253
F 0.000 0.000 5.878
```

Largest 10 diffraction maxima, sorted by position, 2θ from 15° to 90°:
d_spacing	two_theta	intensity
3.891	22.86	28
3.113	28.67	100
2.939	30.41	39
2.595	34.56	64
1.945	46.69	46
1.835	49.69	30
1.729	52.98	11
1.581	58.37	26
1.557	59.37	22
1.161	83.25	13


[4]
Cs2Rb3Br3F2: theoretical PXRD pattern (Cu Kα), based on DFT lattice parameters and positions (PBE).

```
10
Lattice="-2.671 2.671 14.128 2.671 -2.671 14.128 2.671 2.671 -14.128" Properties=species:S:1:pos:R:3 pbc="T T T"
Cs 2.671 0.000 7.064
Cs 0.000 2.671 7.064
Rb 0.000 0.000 0.000
Rb 0.000 0.000 10.774
Rb 0.000 0.000 17.482
Br 0.000 0.000 3.594
Br 0.000 0.000 14.128
Br 0.000 0.000 24.662
F 0.000 0.000 8.122
F 0.000 0.000 20.134
```

Largest 10 diffraction maxima, sorted by position, 2θ from 15° to 90°:
d_spacing	two_theta	intensity
3.649	24.39	100
3.532	25.21	80
3.331	26.76	80
2.947	30.33	55
2.671	33.55	88
2.263	39.84	42
2.130	42.43	77
1.889	48.18	31
1.665	55.15	35
1.450	64.25	31


[5]
Cs2RuBr4F2: theoretical PXRD pattern (Cu Kα), based on DFT lattice parameters and positions (PBE).

```
9
Lattice="6.168 -3.898 0.000 6.168 3.898 0.000 -1.740 0.000 6.129" Properties=species:S:1:pos:R:3 pbc="T T T"
Cs 1.625 0.000 1.976
Cs 8.972 0.000 4.153
Ru 6.168 0.000 0.000
Br 4.790 1.799 1.112
Br 5.807 1.799 5.017
Br 4.790 -1.799 1.112
Br 5.807 -1.799 5.017
F 3.208 0.000 4.631
F 7.389 0.000 1.498
```

Largest 10 diffraction maxima, sorted by position, 2θ from 15° to 90°:
d_spacing	two_theta	intensity
4.164	21.34	73
3.528	25.25	37
3.073	29.06	100
3.012	29.65	22
2.948	30.31	19
2.713	33.02	24
2.422	37.12	35
1.949	46.60	20
1.809	50.43	23
1.764	51.83	22


[6]
Cs2SeBr2F4: theoretical PXRD pattern (Cu Kα), based on DFT lattice parameters and positions (PBE).

```
9
Lattice="-3.685 3.685 4.464 3.685 -3.685 4.464 3.685 3.685 -4.464" Properties=species:S:1:pos:R:3 pbc="T T T"
Cs 3.685 0.000 2.232
Cs 0.000 3.685 2.232
Se 0.000 0.000 0.000
Br 0.000 0.000 2.634
Br 0.000 0.000 6.294
F 1.385 1.385 0.000
F 2.300 -2.300 4.464
F -2.300 2.300 4.464
F 2.300 2.300 4.464
```

Largest 10 diffraction maxima, sorted by position, 2θ from 15° to 90°:
d_spacing	two_theta	intensity
4.464	19.89	22
3.685	24.15	100
3.390	26.29	37
2.842	31.48	72
2.760	32.44	26
2.606	34.42	59
2.250	40.07	20
1.909	47.63	20
1.695	54.10	21
1.648	55.78	25


[7]
Cs2SiBrF6: theoretical PXRD pattern (Cu Kα), based on DFT lattice parameters and positions (PBE).

```
10
Lattice="-3.474 3.474 4.412 3.474 -3.474 4.412 3.474 3.474 -4.412" Properties=species:S:1:pos:R:3 pbc="T T T"
Cs 3.474 0.000 2.206
Cs 0.000 3.474 2.206
Si 0.000 0.000 0.000
Br 0.000 0.000 4.412
F 1.212 1.212 0.000
F 2.262 -2.262 4.412
F 0.000 0.000 1.736
F 0.000 0.000 7.088
F -2.262 2.262 4.412
F 2.262 2.262 4.412
```

Largest 10 diffraction maxima, sorted by position, 2θ from 15° to 90°:
d_spacing	two_theta	intensity
3.474	25.64	61
3.283	27.17	100
2.729	32.81	25
2.456	36.58	34
2.206	40.91	13
1.967	46.16	34
1.862	48.91	17
1.641	56.03	16
1.554	59.50	15
1.535	60.29	14


[8]
Cs2SrBr2F2: theoretical PXRD pattern (Cu Kα), based on DFT lattice parameters and positions (PBE).

```
14
Lattice="4.971 0.000 0.000 0.000 4.971 0.000 0.000 0.000 18.495" Properties=species:S:1:pos:R:3 pbc="T T T"
Cs 0.000 0.000 2.428
Cs 0.000 0.000 16.067
Cs 2.486 2.486 6.820
Cs 2.486 2.486 11.675
Sr 0.000 0.000 9.247
Sr 2.486 2.486 0.000
Br 0.000 0.000 6.156
Br 0.000 0.000 12.339
Br 2.486 2.486 3.091
Br 2.486 2.486 15.403
F 0.000 2.486 0.000
F 0.000 2.486 9.247
F 2.486 0.000 0.000
F 2.486 0.000 9.247
```

Largest 10 diffraction maxima, sorted by position, 2θ from 15° to 90°:
d_spacing	two_theta	intensity
4.624	19.20	19
3.515	25.34	100
3.082	28.97	20
2.968	30.11	58
2.798	31.98	41
2.486	36.14	53
2.318	38.86	22
1.934	46.98	28
1.905	47.73	32
1.572	58.73	19


[9]
CsSrBr2F: theoretical PXRD pattern (Cu Kα), based on DFT lattice parameters and positions (PBE).

```
5
Lattice="6.189 0.000 0.000 0.000 6.189 0.000 0.000 0.000 4.692" Properties=species:S:1:pos:R:3 pbc="T T T"
Cs 0.000 0.000 0.000
Sr 3.094 3.094 2.346
Br 0.000 3.094 2.346
Br 3.094 0.000 2.346
F 3.094 3.094 0.000
```

Largest 10 diffraction maxima, sorted by position, 2θ from 15° to 90°:
d_spacing	two_theta	intensity
3.739	23.80	78
3.200	27.88	69
3.094	28.85	100
2.384	37.74	47
2.346	38.37	23
2.188	41.26	37
1.869	48.71	45
1.806	50.53	25
1.600	57.61	27
1.192	80.60	20


[10]
Cs2TcBr5F: theoretical PXRD pattern (Cu Kα), based on DFT lattice parameters and positions (PBE).

```
9
Lattice="-3.871 3.871 5.462 3.871 -3.871 5.462 3.871 3.871 -5.462" Properties=species:S:1:pos:R:3 pbc="T T T"
Cs 3.871 0.000 0.000
Cs 0.000 3.871 0.000
Tc 0.000 0.000 2.748
Br 2.072 2.072 -2.744
Br 1.800 -1.800 2.718
Br -1.800 1.800 2.718
Br 1.800 1.800 2.718
Br 0.000 0.000 5.279
F 0.000 0.000 0.784
```

Largest 10 diffraction maxima, sorted by position, 2θ from 15° to 90°:
d_spacing	two_theta	intensity
3.867	23.00	43
3.158	28.25	100
2.735	32.74	92
2.234	40.37	16
2.106	42.95	15
1.934	46.98	62
1.650	55.69	26
1.579	58.44	20
1.255	75.80	14
1.224	78.08	16


[11]
Cs2TiBr6F: theoretical PXRD pattern (Cu Kα), based on DFT lattice parameters and positions (PBE).

```
10
Lattice="-3.790 3.790 5.877 3.790 -3.790 5.877 3.790 3.790 -5.877" Properties=species:S:1:pos:R:3 pbc="T T T"
Cs 3.790 0.000 2.939
Cs 0.000 3.790 2.939
Ti 0.000 0.000 0.000
Br 0.000 0.000 2.531
Br 1.794 1.794 0.000
Br 1.996 -1.996 5.877
Br -1.996 1.996 5.877
Br 1.996 1.996 5.877
Br 0.000 0.000 9.224
F 0.000 0.000 5.877
```

Largest 10 diffraction maxima, sorted by position, 2θ from 15° to 90°:
d_spacing	two_theta	intensity
3.960	22.45	13
3.185	28.01	100
2.939	30.42	27
2.680	33.44	46
1.980	45.82	32
1.895	48.01	16
1.740	52.59	12
1.629	56.51	26
1.593	57.90	15
1.110	88.01	10


[12]
CsTlBr2F8: theoretical PXRD pattern (Cu Kα), based on DFT lattice parameters and positions (PBE).

```
12
Lattice="5.028 -3.212 0.000 5.028 3.212 0.000 -3.232 0.000 7.506" Properties=species:S:1:pos:R:3 pbc="T T T"
Cs 0.000 0.000 0.000
Tl 3.412 0.000 3.753
Br 0.332 0.000 5.224
Br 6.492 0.000 2.282
F 3.768 1.495 2.260
F 1.033 0.000 3.365
F -0.099 0.000 7.035
F 3.056 1.495 5.246
F 3.768 -1.495 2.260
F 6.923 0.000 0.471
F 5.791 0.000 4.142
F 3.056 -1.495 5.246
```

Largest 10 diffraction maxima, sorted by position, 2θ from 15° to 90°:
d_spacing	two_theta	intensity
4.863	18.24	19
3.919	22.69	100
3.720	23.92	24
3.212	27.77	32
2.972	30.07	56
2.489	36.09	20
2.441	36.81	16
2.431	36.97	25
2.310	38.99	27
1.875	48.55	18


[13]
CsTlBrF: theoretical PXRD pattern (Cu Kα), based on DFT lattice parameters and positions (PBE).

```
4
Lattice="4.504 0.000 0.000 1.766 4.180 0.000 1.092 0.933 7.962" Properties=species:S:1:pos:R:3 pbc="T T T"
Cs 0.000 0.000 0.000
Tl 4.307 2.937 4.455
Br 2.204 1.486 2.647
F 3.269 2.411 6.696
```

Largest 10 diffraction maxima, sorted by position, 2θ from 15° to 90°:
d_spacing	two_theta	intensity
3.981	22.33	47
3.870	22.98	44
3.797	23.43	41
3.614	24.63	63
3.555	25.05	100
3.517	25.33	98
2.990	29.89	69
2.500	35.92	93
2.365	38.06	36
2.219	40.67	32


[14]
Cs2FeBr7: theoretical PXRD pattern (Cu Kα), based on DFT lattice parameters and positions (PBE).

```
10
Lattice="-4.127 4.127 5.507 4.127 -4.127 5.507 4.127 4.127 -5.507" Properties=species:S:1:pos:R:3 pbc="T T T"
Cs 4.127 0.000 2.754
Cs 0.000 4.127 2.754
Fe 0.000 0.000 0.000
Br 1.692 1.692 0.000
Br 2.435 -2.435 5.507
Br 0.000 0.000 2.850
Br 0.000 0.000 5.507
Br 0.000 0.000 8.164
Br -2.435 2.435 5.507
Br 2.435 2.435 5.507
```

Largest 10 diffraction maxima, sorted by position, 2θ from 15° to 90°:
d_spacing	two_theta	intensity
4.127	21.53	23
4.006	22.19	36
3.303	27.00	100
2.918	30.64	74
2.754	32.52	39
2.669	33.57	14
2.064	43.87	21
2.003	45.28	48
1.750	52.27	20
1.651	55.66	20